1.
Structure and computed powder diffraction line list of Pm7Tm2 (a DFT-relaxed cell (PBE, Alexandria); λ = 1.5418 Å (Cu Kα)).
Lines closer than 0.1° are merged.

Structural model:
Cell lengths 6.261, 6.261, 8.843 Å; angles 90.00, 90.00, 120.00 degrees
Atoms (fractional coordinates):
1 Pm 0.000 0.000 0.000
2 Pm 0.000 0.334 0.670
3 Pm 0.000 0.666 0.330
4 Pm 0.334 0.000 0.670
5 Pm 0.334 0.334 0.330
6 Pm 0.666 0.000 0.330
7 Pm 0.666 0.666 0.670
8 Tm 0.333 0.667 0.000
9 Tm 0.667 0.333 0.000

Most intense lines, 2θ = 10–80°, low angle first:
d 8.843, 10.0 deg, rel. 1
d 2.950, 30.3 deg, rel. 100
d 2.555, 35.1 deg, rel. 51
d 1.807, 50.5 deg, rel. 36
d 1.541, 60.0 deg, rel. 43
d 1.475, 63.0 deg, rel. 12
d 1.278, 74.2 deg, rel. 6

2.
Structure and computed powder diffraction line list of Pm5Tm2 (a DFT-relaxed cell (PBE, Alexandria); λ = 1.5418 Å (Cu Kα)).
Lines closer than 0.1° are merged.

Structural model:
Cell lengths 8.583, 8.583, 9.327 Å; angles 94.86, 94.86, 43.28 degrees
Atoms (fractional coordinates):
1 Pm 0.029 0.691 0.036
2 Pm 0.120 0.450 0.678
3 Pm 0.168 0.832 0.750
4 Pm 0.309 0.971 0.464
5 Pm 0.450 0.120 0.178
6 Pm 0.550 0.880 0.822
7 Pm 0.691 0.029 0.536
8 Pm 0.832 0.168 0.250
9 Pm 0.880 0.550 0.322
10 Pm 0.971 0.309 0.964
11 Tm 0.265 0.594 0.393
12 Tm 0.406 0.735 0.107
13 Tm 0.594 0.265 0.893
14 Tm 0.735 0.406 0.607

Most intense lines, 2θ = 10–80°, low angle first:
d 3.168, 28.2 deg, rel. 24
d 2.891, 30.9 deg, rel. 25
d 2.778, 32.2 deg, rel. 100
d 2.136, 42.3 deg, rel. 16
d 1.831, 49.8 deg, rel. 7
d 1.828, 49.9 deg, rel. 13
d 1.647, 55.8 deg, rel. 21
d 1.547, 59.8 deg, rel. 8
d 1.545, 59.9 deg, rel. 15
d 1.528, 60.6 deg, rel. 16